This entry pairs a crystal structure of Pm7Sm3Y2 with its simulated XRD peak list. Radiation: Cu Kα, 1.54184 Å. Structure: the GGA-PBE geometry in Alexandria.

Atomic structure:
Lattice parameters (Å, degrees): 6.4841 3.5799 17.7628 90.00 96.04 90.00
Space group P2/m (No. 10)
Inequivalent atoms, fractional coordinates:
Pm 0.0000 0.0000 0.0000 [1 per cell]
Pm 0.2238 0.5000 0.1690 [2 per cell]
Pm 0.2567 0.5000 0.4970 [2 per cell]
Pm 0.2734 0.0000 0.8329 [2 per cell]
Sm 0.4514 0.0000 0.3395 [2 per cell]
Sm 0.5000 0.5000 0.0000 [1 per cell]
Y 0.0575 0.5000 0.6705 [2 per cell]

Principal peaks in the range 10 to 90 degrees two-theta, sorted by position:
Position (°2θ), intensity, index
29.22, 72, 1 1 1
30.17, 85, 2 0 -3
30.36, 99, 0 0 6
30.79, 100, 1 1 2
33.05, 70, 2 0 3
34.26, 84, 1 1 -4
37.42, 31, 1 1 -5
49.25, 37, 3 1 -1
51.02, 27, 0 2 0
51.90, 37, 2 0 -9
60.43, 23, 2 2 -3
60.54, 33, 0 2 6

This entry pairs a crystal structure of Pm3Sm3Y5 with its simulated XRD peak list. Radiation: Cu Kα, 1.54184 Å. Structure: the GGA-PBE geometry in Alexandria.

Atomic structure:
Lattice parameters (Å, degrees): 9.6916 9.6916 5.5968 90.00 90.00 120.00
Space group P-62m (No. 189)
Inequivalent atoms, fractional coordinates:
Pm 0.0000 0.4602 0.0000 [3 per cell]
Sm 0.0000 0.6269 0.5000 [3 per cell]
Y 0.0000 0.2626 0.5000 [3 per cell]
Y 0.3333 0.6667 0.5000 [2 per cell]

Principal peaks in the range 10 to 90 degrees two-theta, sorted by position:
Position (°2θ), intensity, index
10.54, 61, 1 0 0
15.83, 42, 0 0 1
18.31, 34, 1 1 0
21.17, 38, 2 0 0
24.30, 39, 1 1 1
26.55, 65, 2 0 1
28.13, 32, 2 1 0
31.98, 100, 0 0 2
32.44, 78, 2 1 1
35.89, 84, 3 0 1
42.04, 46, 3 1 1
59.57, 40, 3 3 1

This entry pairs a crystal structure of Pm10SmY4 with its simulated XRD peak list. Radiation: Cu Kα, 1.54184 Å. Structure: the GGA-PBE geometry in Alexandria.

Atomic structure:
Lattice parameters (Å, degrees): 12.3925 12.3925 7.8124 90.00 90.00 90.00
Space group I4/m (No. 87)
Inequivalent atoms, fractional coordinates:
Pm 0.0000 0.5000 0.2500 [4 per cell]
Pm 0.0995 0.2005 0.2496 [16 per cell]
Sm 0.0000 0.0000 0.0000 [2 per cell]
Y 0.1002 0.7006 0.5000 [8 per cell]

Principal peaks in the range 10 to 90 degrees two-theta, sorted by position:
Position (°2θ), intensity, index
19.64, 16, 1 2 1
22.72, 28, 3 1 0
32.34, 100, 3 1 2
38.12, 9, 5 0 1
39.89, 9, 2 4 2
46.34, 12, 6 2 0
46.50, 6, 0 0 4
52.21, 8, 6 2 2
57.65, 25, 5 5 2
57.75, 13, 2 4 4
67.74, 8, 6 2 4
76.95, 11, 10 0 0

This entry pairs a crystal structure of Pm5Sm2Y5 with its simulated XRD peak list. Radiation: Cu Kα, 1.54184 Å. Structure: the GGA-PBE geometry in Alexandria.

Atomic structure:
Lattice parameters (Å, degrees): 15.3209 5.1146 11.4208 90.00 116.60 90.00
Space group C2/m (No. 12)
Inequivalent atoms, fractional coordinates:
Pm 0.0000 0.0000 0.0000 [2 per cell]
Pm 0.0836 0.0000 0.7504 [4 per cell]
Pm 0.1665 0.0000 0.4994 [4 per cell]
Sm 0.0830 0.5000 0.2496 [4 per cell]
Y 0.0000 0.5000 0.5000 [2 per cell]
Y 0.1673 0.5000 0.0007 [4 per cell]
Y 0.2497 0.0000 0.2493 [4 per cell]

Principal peaks in the range 10 to 90 degrees two-theta, sorted by position:
Position (°2θ), intensity, index
11.91, 1, 2 0 -1
30.30, 100, 3 1 1
35.13, 50, 0 2 0
50.53, 36, 6 0 2
60.06, 42, 3 3 1
63.03, 12, 6 2 2
74.16, 2, 0 4 0
74.30, 4, 0 0 8
82.24, 14, 3 3 5
82.33, 3, 9 1 3
84.84, 9, 0 4 4
84.93, 7, 12 0 0

This entry pairs a crystal structure of Pm2Sm8Y3 with its simulated XRD peak list. Radiation: Cu Kα, 1.54184 Å. Structure: the GGA-PBE geometry in Alexandria.

Atomic structure:
Lattice parameters (Å, degrees): 7.7023 5.6852 11.0296 90.00 110.41 90.00
Space group P2/m (No. 10)
Inequivalent atoms, fractional coordinates:
Pm 0.2399 0.0000 0.4815 [2 per cell]
Sm 0.1313 0.5000 0.2631 [2 per cell]
Sm 0.1881 0.0000 0.7892 [2 per cell]
Sm 0.3318 0.5000 0.6632 [2 per cell]
Sm 0.3981 0.0000 0.2113 [2 per cell]
Y 0.0000 0.0000 0.0000 [1 per cell]
Y 0.2853 0.5000 0.0001 [2 per cell]

Principal peaks in the range 10 to 90 degrees two-theta, sorted by position:
Position (°2θ), intensity, index
17.16, 10, 0 0 2
24.67, 23, 2 0 0
27.98, 12, 2 1 -1
29.11, 33, 1 1 2
30.33, 40, 0 1 3
31.47, 43, 0 2 0
33.01, 100, 2 1 -3
34.71, 10, 0 0 4
40.39, 13, 2 2 0
57.02, 21, 2 3 -3
63.44, 12, 3 2 3
66.87, 10, 5 1 0

This entry pairs a crystal structure of PmSm7Y12 with its simulated XRD peak list. Radiation: Cu Kα, 1.54184 Å. Structure: the GGA-PBE geometry in Alexandria.

Atomic structure:
Lattice parameters (Å, degrees): 12.9540 12.9540 13.7578 90.00 90.00 120.00
Space group R-3 (No. 148, hexagonal axes)
Inequivalent atoms, fractional coordinates:
Pm 0.0000 0.0000 0.0000 [3 per cell]
Sm 0.0000 0.0000 0.5000 [3 per cell]
Sm 0.0683 0.8669 0.8464 [18 per cell]
Y 0.0005 0.4349 0.2499 [18 per cell]
Y 0.0676 0.2006 0.3488 [18 per cell]

Principal peaks in the range 10 to 90 degrees two-theta, sorted by position:
Position (°2θ), intensity, index
20.43, 14, 2 0 2
27.12, 14, 1 0 4
29.43, 53, 1 3 1
30.49, 39, 0 2 4
31.56, 100, 4 -1 2
39.03, 36, 1 3 4
41.82, 35, 3 3 0
46.47, 11, 3 0 6
46.99, 14, 1 5 2
50.83, 13, 5 2 0
54.88, 20, 7 -5 3
58.74, 14, 6 -3 6